Diffraction record for Fe23B3C3. The X-ray powder pattern is calculated, not measured: it uses a structure optimized by DFT (PBE) and Cu Kα (λ = 1.5418 Å).

Principal peaks in the range 10° ≤ 2θ ≤ 90°, low angle first:
Position (°2θ), Rel. int.
38.16, 24
41.97, 28
44.64, 100
48.85, 22
51.24, 27
52.03, 12
76.67, 21
78.55, 12

Structural model:
```
29
Lattice="3.7283 2.1525 6.0909 -3.7283 2.1525 6.0909 0.0000 -4.3051 6.0909" Properties=species:S:1:pos:R:3 pbc="T T T"
Fe 0.0000 0.0000 0.6189
Fe -2.4769 -1.4301 10.2407
Fe -1.1874 -2.1733 8.2286
Fe -2.4758 0.0583 8.2286
Fe 0.0000 -2.0395 5.8682
Fe -1.7663 1.0198 5.8682
Fe 0.0000 0.0000 3.0594
Fe 0.0000 -2.3001 10.5327
Fe -1.9919 1.1500 10.5327
Fe 0.0000 0.0000 7.3512
Fe -1.2933 -0.7467 12.1818
Fe 1.1874 -2.1733 8.2286
Fe -1.2884 2.1149 8.2286
Fe 0.0000 0.0000 9.7577
Fe 1.7663 1.0198 5.8682
Fe 0.0000 0.0000 14.1778
Fe 2.4769 -1.4300 10.2407
Fe 1.2933 -0.7467 12.1818
Fe 0.0000 2.8601 10.2407
Fe 0.0000 1.4934 12.1818
Fe 2.4758 0.0583 8.2286
Fe 1.2884 2.1149 8.2286
Fe 1.9919 1.1500 10.5327
B -1.6811 -0.9706 6.5522
B 1.6811 -0.9706 6.5522
B 0.0000 1.9412 6.5522
C 0.0000 -1.9048 3.8332
C -1.6496 0.9524 3.8332
C 1.6496 0.9524 3.8332
```

---

Diffraction record for Li2Tb3Cd9. The X-ray powder pattern is calculated, not measured: it uses a structure optimized by DFT (PBE) and Cu Kα (λ = 1.5418 Å).

Principal peaks in the range 10° ≤ 2θ ≤ 90°, low angle first:
Position (°2θ), Rel. int.
28.38, 20
31.24, 48
32.99, 100
35.22, 29
37.89, 37
39.13, 30
51.08, 24
65.46, 24

Structural model:
```
14
Lattice="-2.3743 5.3829 6.2918 2.3743 -5.3829 6.2918 2.3743 5.3829 -6.2918" Properties=species:S:1:pos:R:3 pbc="T T T"
Li 0.0000 1.7842 0.0000
Li 0.0000 8.9817 0.0000
Tb 0.0000 0.0000 2.6773
Tb 0.0000 0.0000 6.2918
Tb 0.0000 0.0000 9.9062
Cd 2.3743 0.0000 0.0000
Cd 2.3743 2.3791 -1.7523
Cd 2.3743 -1.4133 4.5716
Cd 2.3743 2.3791 1.7523
Cd 2.3743 1.4133 4.5716
Cd 0.0000 3.9696 1.7202
Cd 0.0000 3.0039 4.5394
Cd 0.0000 6.7962 1.7202
Cd 0.0000 3.0039 8.0441
```